# 1
This entry pairs a crystal structure of AlPO4 with its computed powder XRD pattern. Radiation: λ = 1.5418 Å (Cu Kα). Structure: a crystal structure in the Materials Project, relaxed with PBE.

Principal peaks in the range 2θ from 10° to 90°, most intense first:
hkl 0 2 0, 28.36°, intensity 100
hkl 2 0 0, 30.68°, intensity 62
hkl 1 3 1, 57.80°, intensity 59
hkl 3 3 1, 75.35°, intensity 42
hkl 1 1 1, 39.38°, intensity 41
hkl 3 1 1, 60.46°, intensity 35
hkl 0 2 1, 44.12°, intensity 33
hkl 2 0 1, 45.73°, intensity 31

Cell and atoms:
```
data_AlPO4
_cell_length_a 5.829
_cell_length_b 6.293
_cell_length_c 2.708
_cell_angle_alpha 90.00
_cell_angle_beta 90.00
_cell_angle_gamma 90.00
_space_group_name_H-M_alt 'C m m m'
_space_group_IT_number 65
_space_group_name_Hall '-C 2 2'
loop_
_atom_site_label
_atom_site_fract_x
_atom_site_fract_y
_atom_site_fract_z
_atom_site_occupancy
Al1 0.000 0.000 0.000 1
P1 0.000 0.500 0.500 1
O1 0.000 0.319 0.000 1
O2 0.211 0.000 0.500 1
```

=====

# 2
This entry pairs a crystal structure of Tb4Ga12Pt with its computed powder XRD pattern. Radiation: λ = 1.5418 Å (Cu Kα). Structure: a crystal structure in the Materials Project, relaxed with PBE.

Principal peaks in the range 2θ from 10° to 90°, most intense first:
hkl 2 2 2, 35.90°, intensity 100
hkl 4 0 0, 41.69°, intensity 83
hkl 2 2 0, 29.15°, intensity 55
hkl 4 4 0, 60.43°, intensity 49
hkl 6 2 2, 72.33°, intensity 29
hkl 3 2 1, 38.89°, intensity 25
hkl 3 1 0, 32.68°, intensity 17
hkl 4 2 2, 51.68°, intensity 17

Cell and atoms:
```
data_Tb4Ga12Pt
_cell_length_a 8.665
_cell_length_b 8.665
_cell_length_c 8.665
_cell_angle_alpha 90.00
_cell_angle_beta 90.00
_cell_angle_gamma 90.00
_space_group_name_H-M_alt 'I m -3 m'
_space_group_IT_number 229
_space_group_name_Hall '-I 4 2 3'
loop_
_atom_site_label
_atom_site_fract_x
_atom_site_fract_y
_atom_site_fract_z
_atom_site_occupancy
Tb1 0.250 0.250 0.250 1
Ga1 0.000 0.000 0.296 1
Ga2 0.000 0.250 0.500 1
Pt1 0.000 0.000 0.000 1
```

=====

# 3
This entry pairs a crystal structure of GeO2 with its computed powder XRD pattern. Radiation: λ = 1.5418 Å (Cu Kα). Structure: a crystal structure in the Materials Project, relaxed with PBE.

Principal peaks in the range 2θ from 10° to 90°, most intense first:
hkl 1 1 0, 28.19°, intensity 100
hkl 1 0 1, 37.01°, intensity 33
hkl 2 1 1, 56.03°, intensity 33
hkl 1 2 1, 55.49°, intensity 30
hkl 0 1 1, 36.76°, intensity 30
hkl 2 2 0, 58.29°, intensity 16
hkl 1 1 2, 71.47°, intensity 13
hkl 0 3 1, 70.30°, intensity 11

Cell and atoms:
```
data_GeO2
_cell_length_a 4.429
_cell_length_b 4.527
_cell_length_c 2.905
_cell_angle_alpha 90.00
_cell_angle_beta 90.00
_cell_angle_gamma 90.00
_space_group_name_H-M_alt 'P n n m'
_space_group_IT_number 58
_space_group_name_Hall '-P 2 2n'
loop_
_atom_site_label
_atom_site_fract_x
_atom_site_fract_y
_atom_site_fract_z
_atom_site_occupancy
Ge1 0.000 0.000 0.000 1
O1 0.205 0.182 0.500 1
```

=====

# 4
This entry pairs a crystal structure of W2Se3S with its computed powder XRD pattern. Radiation: λ = 1.5418 Å (Cu Kα). Structure: a crystal structure in the Materials Project, relaxed with PBE.

Principal peaks in the range 2θ from 10° to 90°, most intense first:
hkl 0 0 5, 11.82°, intensity 100
hkl 1 0 8, 36.96°, intensity 61
hkl 0 1 13, 44.76°, intensity 38
hkl 1 0 0, 31.45°, intensity 29
hkl 1 1 0, 55.96°, intensity 22
hkl 0 0 6, 14.19°, intensity 21
hkl 1 0 14, 46.60°, intensity 14
hkl 1 0 5, 33.68°, intensity 14

Cell and atoms:
```
data_W2Se3S
_cell_length_a 3.2870
_cell_length_b 3.2870
_cell_length_c 37.4443
_cell_angle_alpha 90.00
_cell_angle_beta 90.00
_cell_angle_gamma 120.00
_space_group_name_H-M_alt 'P 3 m 1'
_space_group_IT_number 156
_space_group_name_Hall 'P 3 -2"'
loop_
_atom_site_label
_atom_site_fract_x
_atom_site_fract_y
_atom_site_fract_z
_atom_site_occupancy
W1 0.0000 0.0000 0.0000 1
W2 0.0000 0.0000 0.3757 1
W3 0.3333 0.6667 0.1879 1
W4 0.3333 0.6667 0.5636 1
Se1 0.0000 0.0000 0.1426 1
Se2 0.0000 0.0000 0.2331 1
Se3 0.0000 0.0000 0.5183 1
Se4 0.0000 0.0000 0.6089 1
Se5 0.3333 0.6667 0.3305 1
Se6 0.3333 0.6667 0.4210 1
S1 0.3333 0.6667 0.0412 1
S2 0.3333 0.6667 0.9588 1
```

=====

# 5
This entry pairs a crystal structure of ReC2NCl4 with its computed powder XRD pattern. Radiation: λ = 1.5418 Å (Cu Kα). Structure: a crystal structure in the Materials Project, relaxed with PBE.

Principal peaks in the range 2θ from 10° to 90°, most intense first:
hkl 0 1 -1, 11.07°, intensity 100
hkl 0 0 2, 12.98°, intensity 26
hkl 1 1 0, 14.23°, intensity 15
hkl 0 1 -3, 21.53°, intensity 12
hkl 0 2 0, 18.00°, intensity 9
hkl 2 0 0, 27.90°, intensity 5
hkl 1 3 2, 28.76°, intensity 5
hkl 1 0 -1, 16.23°, intensity 4

Cell and atoms:
```
data_ReC2NCl4
_cell_length_a 6.778
_cell_length_b 10.294
_cell_length_c 13.850
_cell_angle_alpha 86.89
_cell_angle_beta 80.03
_cell_angle_gamma 73.27
_space_group_name_H-M_alt 'P -1'
_space_group_IT_number 2
_space_group_name_Hall '-P 1'
loop_
_atom_site_label
_atom_site_fract_x
_atom_site_fract_y
_atom_site_fract_z
_atom_site_occupancy
Re1 0.141 0.023 0.025 1
Re2 0.319 0.539 0.512 1
C1 0.262 0.124 0.684 1
C2 0.310 0.414 0.184 1
C3 0.343 0.549 0.882 1
C4 0.348 0.967 0.345 1
N1 0.458 0.085 0.673 1
N2 0.488 0.429 0.156 1
Cl1 0.015 0.859 0.835 1
Cl2 0.143 0.223 0.947 1
Cl3 0.230 0.459 0.666 1
Cl4 0.239 0.359 0.452 1
Cl5 0.253 0.836 0.120 1
Cl6 0.254 0.747 0.580 1
Cl7 0.265 0.647 0.366 1
Cl8 0.412 0.919 0.904 1
```

=====

# 6
This entry pairs a crystal structure of LiBi2BO5 with its computed powder XRD pattern. Radiation: λ = 1.5418 Å (Cu Kα). Structure: a crystal structure in the Materials Project, relaxed with PBE.

Principal peaks in the range 2θ from 10° to 90°, most intense first:
hkl 1 0 2, 22.00°, intensity 100
hkl 1 2 2, 33.55°, intensity 82
hkl 0 2 0, 25.02°, intensity 37
hkl 2 0 0, 30.95°, intensity 28
hkl 2 2 0, 40.20°, intensity 26
hkl 0 2 4, 40.78°, intensity 22
hkl 1 4 2, 56.51°, intensity 19
hkl 3 2 2, 56.72°, intensity 19

Cell and atoms:
```
data_LiBi2BO5
_cell_length_a 5.779
_cell_length_b 7.118
_cell_length_c 11.302
_cell_angle_alpha 90.00
_cell_angle_beta 90.00
_cell_angle_gamma 90.00
_space_group_name_H-M_alt 'P n m a'
_space_group_IT_number 62
_space_group_name_Hall '-P 2ac 2n'
loop_
_atom_site_label
_atom_site_fract_x
_atom_site_fract_y
_atom_site_fract_z
_atom_site_occupancy
Li1 0.224 0.250 0.154 1
Bi1 0.229 0.007 0.399 1
B1 0.190 0.750 0.142 1
O1 0.036 0.750 0.532 1
O2 0.110 0.750 0.807 1
O3 0.126 0.579 0.087 1
O4 0.185 0.250 0.745 1
```

=====

# 7
This entry pairs a crystal structure of Pr3AlCoS7 with its computed powder XRD pattern. Radiation: λ = 1.5418 Å (Cu Kα). Structure: a crystal structure in the Materials Project, relaxed with PBE.

Principal peaks in the range 2θ from 10° to 90°, most intense first:
hkl 2 0 1, 25.24°, intensity 100
hkl 2 0 2, 36.25°, intensity 43
hkl 1 3 1, 40.25°, intensity 43
hkl 1 0 1, 17.90°, intensity 41
hkl 3 0 1, 34.31°, intensity 37
hkl 2 1 0, 27.11°, intensity 36
hkl 2 2 0, 35.74°, intensity 34
hkl 1 1 1, 23.04°, intensity 30

Cell and atoms:
```
data_Pr3AlCoS7
_cell_length_a 10.0480
_cell_length_b 10.0480
_cell_length_c 6.0291
_cell_angle_alpha 90.00
_cell_angle_beta 90.00
_cell_angle_gamma 120.00
_space_group_name_H-M_alt 'P 63'
_space_group_IT_number 173
_space_group_name_Hall 'P 6c'
loop_
_atom_site_label
_atom_site_fract_x
_atom_site_fract_y
_atom_site_fract_z
_atom_site_occupancy
Pr1 0.1417 0.7705 0.0000 1
Al1 0.3333 0.6667 0.5763 1
Co1 0.0000 0.0000 0.2154 1
S1 0.0839 0.8660 0.4544 1
S2 0.0969 0.5174 0.7213 1
S3 0.3333 0.6667 0.2085 1
```

=====

# 8
This entry pairs a crystal structure of AcBiAu2 with its computed powder XRD pattern. Radiation: λ = 1.5418 Å (Cu Kα). Structure: a crystal structure in the Materials Project, relaxed with PBE.

Principal peaks in the range 2θ from 10° to 90°, most intense first:
hkl 2 2 0, 33.61°, intensity 100
hkl 4 2 2, 60.11°, intensity 39
hkl 4 0 0, 48.27°, intensity 19
hkl 6 2 0, 80.56°, intensity 17
hkl 4 4 0, 70.66°, intensity 12

Cell and atoms:
```
data_AcBiAu2
_cell_length_a 7.541
_cell_length_b 7.541
_cell_length_c 7.541
_cell_angle_alpha 90.00
_cell_angle_beta 90.00
_cell_angle_gamma 90.00
_space_group_name_H-M_alt 'F m -3 m'
_space_group_IT_number 225
_space_group_name_Hall '-F 4 2 3'
loop_
_atom_site_label
_atom_site_fract_x
_atom_site_fract_y
_atom_site_fract_z
_atom_site_occupancy
Ac1 0.000 0.000 0.000 1
Bi1 0.000 0.000 0.500 1
Au1 0.250 0.250 0.250 1
```